Starting from a structure optimized by DFT (PBE), the PXRD pattern of Zr2As2SeS was calculated for Cu Ka.
Peak positions follow from Bragg's law for the DFT cell and can differ from measured ones.

Peak list (12 most intense, 15 to 90 degrees two-theta, by intensity)
2theta, I_rel, h k l
32.36, 100.0, 1 0 3
43.23, 55.5, 1 2 1
41.47, 34.7, 1 1 4
37.31, 33.9, 0 2 2
18.40, 23.5, 0 1 1
45.02, 20.3, 0 2 4
49.88, 19.5, 2 0 0
39.48, 15.6, 0 1 5
63.91, 13.5, 2 2 2
81.70, 12.9, 1 4 3
88.97, 12.1, 1 0 11
66.48, 11.7, 1 3 4

Structural model:
a = 3.657 Å, b = 5.211 Å, c = 12.695 Å
α = 90.00°, β = 90.00°, γ = 90.00°
Space group Imm2 (No. 44)
Inequivalent atoms, fractional coordinates:
Zr: 0.000 0.000 0.000 x2
Zr: 0.000 0.000 0.270 x2
As: 0.000 0.238 0.634 x4
Se: 0.000 0.500 0.342 x2
S: 0.000 0.500 0.922 x2